[1]
Theoretical powder diffraction line list of Ti3Ni13 for Cu Kα X-rays, from a crystal structure in Alexandria, relaxed with GGA-PBE.
Peak positions follow from Bragg's law for the DFT cell and can differ from measured ones.

Cell and atoms:
a = 7.2584 Å, b = 7.0317 Å, c = 7.2947 Å
α = 90.00°, β = 90.00°, γ = 90.00°
Space group Amm2 (No. 38)
Asymmetric unit:
Ti: 0.0000 0.0000 0.0000 [2 per cell]
Ti: 0.2680 0.0000 0.2985 [4 per cell]
Ni: 0.0000 0.0000 0.5370 [2 per cell]
Ni: 0.0000 0.2352 0.2732 [4 per cell]
Ni: 0.2457 0.0000 0.7835 [4 per cell]
Ni: 0.2528 0.2463 0.0394 [8 per cell]
Ni: 0.5000 0.0000 0.0367 [2 per cell]
Ni: 0.5000 0.0000 0.5424 [2 per cell]
Ni: 0.5000 0.2400 0.7896 [4 per cell]

Peak list (10 most intense, 10° ≤ 2θ ≤ 90°, in order of falling intensity)
index  Position (°2θ)  Rel. int.
2 2 2  43.59  100
4 0 0  50.28  16
0 0 4  50.01  16
0 4 0  52.02  14
6 2 2  89.87  10
2 2 6  89.46  10
4 0 4  73.64  9
4 4 0  75.26  9
0 4 4  75.05  8
0 1 1  17.52  1

[2]
Theoretical powder diffraction line list of TiNi for Cu Kα X-rays, from a crystal structure in Alexandria, relaxed with GGA-PBE.
Peak positions follow from Bragg's law for the DFT cell and can differ from measured ones.

Cell and atoms:
a = 4.2667 Å, b = 2.7260 Å, c = 4.6459 Å
α = 90.00°, β = 90.00°, γ = 90.00°
Space group Pmma (No. 51)
Asymmetric unit:
Ti: 0.2500 0.0000 0.2159 [2 per cell]
Ni: 0.2500 0.5000 0.6828 [2 per cell]

Peak list (10 most intense, 10° ≤ 2θ ≤ 90°, in order of falling intensity)
index  Position (°2θ)  Rel. int.
1 1 1  43.97  100
2 0 0  42.37  32
0 0 2  38.76  24
1 0 2  44.40  20
3 1 1  78.62  16
2 0 2  58.76  13
2 1 3  85.22  9
0 1 1  38.28  9
0 1 3  69.85  8
2 2 0  84.32  7

[3]
Theoretical powder diffraction line list of TiNi for Cu Kα X-rays, from a crystal structure in Alexandria, relaxed with GGA-PBE.
Peak positions follow from Bragg's law for the DFT cell and can differ from measured ones.

Cell and atoms:
a = 7.2730 Å, b = 7.2730 Å, c = 5.3501 Å
α = 90.00°, β = 90.00°, γ = 120.00°
Space group P31m (No. 157)
Asymmetric unit:
Ti: 0.0000 0.0000 0.0000 [1 per cell]
Ti: 0.0000 0.3412 0.4065 [3 per cell]
Ti: 0.0000 0.6793 0.7060 [3 per cell]
Ti: 0.3333 0.6667 0.0969 [2 per cell]
Ni: 0.0000 0.0000 0.4579 [1 per cell]
Ni: 0.0000 0.3587 0.9145 [3 per cell]
Ni: 0.0000 0.6883 0.1863 [3 per cell]
Ni: 0.3333 0.6667 0.6345 [2 per cell]

Peak list (10 most intense, 10° ≤ 2θ ≤ 90°, in order of falling intensity)
index  Position (°2θ)  Rel. int.
3 0 0  43.08  100
1 1 2  41.93  89
4 -2 2  61.68  24
4 1 2  78.19  21
3 3 0  78.99  13
2 0 2  44.43  12
3 0 4  86.22  10
3 -1 2  51.38  9
3 2 2  74.66  7
1 0 2  36.49  6

[4]
Theoretical powder diffraction line list of TiNi4 for Cu Kα X-rays, from a crystal structure in Alexandria, relaxed with GGA-PBE.
Peak positions follow from Bragg's law for the DFT cell and can differ from measured ones.

Cell and atoms:
a = 3.8090 Å, b = 5.0282 Å, c = 12.2240 Å
α = 90.00°, β = 90.00°, γ = 90.00°
Space group Imma (No. 74)
Asymmetric unit:
Ti: 0.0000 0.2500 0.1080 [4 per cell]
Ni: 0.0000 0.0000 0.5000 [4 per cell]
Ni: 0.0000 0.0094 0.6958 [8 per cell]
Ni: 0.0000 0.2500 0.8948 [4 per cell]

Peak list (10 most intense, 10° ≤ 2θ ≤ 90°, in order of falling intensity)
index  Position (°2θ)  Rel. int.
1 0 5  44.01  100
1 2 1  43.77  85
2 0 0  47.76  40
0 2 4  46.79  33
2 2 4  69.09  19
0 2 6  58.29  17
1 2 3  48.82  13
2 2 6  78.59  13
3 0 5  86.34  12
3 2 1  86.18  10

[5]
Theoretical powder diffraction line list of Ti12Tl3Ni for Cu Kα X-rays, from a crystal structure in Alexandria, relaxed with GGA-PBE.
Peak positions follow from Bragg's law for the DFT cell and can differ from measured ones.

Cell and atoms:
a = 4.1656 Å, b = 4.1656 Å, c = 16.1708 Å
α = 90.00°, β = 90.00°, γ = 90.00°
Space group P4/mmm (No. 123)
Asymmetric unit:
Ti: 0.0000 0.0000 0.0000 [1 per cell]
Ti: 0.0000 0.0000 0.2390 [2 per cell]
Ti: 0.0000 0.0000 0.5000 [1 per cell]
Ti: 0.0000 0.5000 0.1077 [4 per cell]
Ti: 0.0000 0.5000 0.3705 [4 per cell]
Tl: 0.5000 0.5000 0.2387 [2 per cell]
Tl: 0.5000 0.5000 0.5000 [1 per cell]
Ni: 0.5000 0.5000 0.0000 [1 per cell]

Peak list (10 most intense, 10° ≤ 2θ ≤ 90°, in order of falling intensity)
index  Position (°2θ)  Rel. int.
1 1 4  37.79  100
2 0 0  43.45  35
1 0 0  21.33  32
1 0 4  30.82  27
3 1 4  75.98  24
2 0 8  64.21  19
0 0 4  22.00  19
0 0 8  44.85  16
1 1 0  30.35  14
2 1 4  54.21  11

[6]
Theoretical powder diffraction line list of Ti6VNi12 for Cu Kα X-rays, from a crystal structure in Alexandria, relaxed with GGA-PBE.
Peak positions follow from Bragg's law for the DFT cell and can differ from measured ones.

Cell and atoms:
a = 9.4339 Å, b = 9.4339 Å, c = 9.6681 Å
α = 90.00°, β = 90.00°, γ = 120.00°
Space group R-3 (No. 148, hexagonal axes)
Asymmetric unit:
Ti: 0.0119 0.4186 0.2366 [18 per cell]
V: 0.0000 0.0000 0.5000 [3 per cell]
Ni: 0.0597 0.8823 0.8934 [18 per cell]
Ni: 0.0619 0.1886 0.3217 [18 per cell]

Peak list (10 most intense, 10° ≤ 2θ ≤ 90°, in order of falling intensity)
index  Position (°2θ)  Rel. int.
4 -1 2  44.14  100
1 3 1  40.91  74
0 3 3  43.51  45
0 1 5  48.37  44
2 2 3  47.79  26
1 0 4  38.86  22
8 -2 1  86.49  18
5 -1 3  59.23  15
5 2 0  72.21  14
2 5 3  78.99  13

[7]
Theoretical powder diffraction line list of Ti2VNi6 for Cu Kα X-rays, from a crystal structure in Alexandria, relaxed with GGA-PBE.
Peak positions follow from Bragg's law for the DFT cell and can differ from measured ones.

Cell and atoms:
a = 4.9303 Å, b = 4.9303 Å, c = 5.4206 Å
α = 90.00°, β = 90.00°, γ = 120.00°
Space group P-3m1 (No. 164)
Asymmetric unit:
Ti: 0.3333 0.6667 0.3683 [2 per cell]
V: 0.0000 0.0000 0.5000 [1 per cell]
Ni: 0.1732 0.3464 0.8216 [6 per cell]

Peak list (10 most intense, 10° ≤ 2θ ≤ 90°, in order of falling intensity)
index  Position (°2θ)  Rel. int.
0 2 1  45.67  100
1 0 2  39.38  36
1 1 1  40.19  30
2 0 2  54.73  25
2 2 0  77.43  18
2 0 0  42.34  16
0 0 2  33.05  12
0 2 4  84.72  12
0 0 3  50.51  11
2 1 3  79.66  9

[8]
Theoretical powder diffraction line list of TiVNi3 for Cu Kα X-rays, from a crystal structure in Alexandria, relaxed with GGA-PBE.
Peak positions follow from Bragg's law for the DFT cell and can differ from measured ones.

Cell and atoms:
a = 5.7907 Å, b = 5.7907 Å, c = 4.6867 Å
α = 90.00°, β = 90.00°, γ = 120.00°
Space group P6_3/mmc (No. 194)
Asymmetric unit:
Ti: 0.3333 0.6667 0.2500 [2 per cell]
V: 0.0000 0.0000 0.0000 [2 per cell]
Ni: 0.2011 0.4022 0.7500 [6 per cell]

Peak list (10 most intense, 10° ≤ 2θ ≤ 90°, in order of falling intensity)
index  Position (°2θ)  Rel. int.
2 0 1  40.81  100
2 1 0  48.00  34
2 0 2  53.52  34
0 0 2  38.41  24
1 0 1  26.02  22
1 0 2  42.58  21
3 0 1  58.63  20
2 0 3  71.10  17
2 2 0  64.35  14
1 1 0  30.88  12

[9]
Theoretical powder diffraction line list of ZrTiNiW for Cu Kα X-rays, from a crystal structure in Alexandria, relaxed with GGA-PBE.
Peak positions follow from Bragg's law for the DFT cell and can differ from measured ones.

Cell and atoms:
a = 6.3921 Å, b = 6.3921 Å, c = 6.3921 Å
α = 90.00°, β = 90.00°, γ = 90.00°
Space group F-43m (No. 216)
Asymmetric unit:
Zr: 0.0000 0.0000 0.0000 [4 per cell]
Ti: 0.0000 0.0000 0.5000 [4 per cell]
Ni: 0.2500 0.2500 0.2500 [4 per cell]
W: 0.2500 0.2500 0.7500 [4 per cell]

Peak list (10 most intense, 10° ≤ 2θ ≤ 90°, in order of falling intensity)
index  Position (°2θ)  Rel. int.
2 2 0  39.89  100
4 2 2  72.43  33
1 1 1  24.12  25
4 0 0  57.69  17
3 1 1  47.16  13
4 4 0  86.04  11
2 0 0  27.92  9
3 3 1  63.43  6
5 1 1  77.61  4
4 2 0  65.28  4

[10]
Theoretical powder diffraction line list of Ti2Zn3Ni4 for Cu Kα X-rays, from a crystal structure in Alexandria, relaxed with GGA-PBE.
Peak positions follow from Bragg's law for the DFT cell and can differ from measured ones.

Cell and atoms:
a = 7.2503 Å, b = 4.1349 Å, c = 7.7442 Å
α = 90.00°, β = 91.05°, γ = 90.00°
Space group C2/m (No. 12)
Asymmetric unit:
Ti: 0.1678 0.0000 0.2144 [4 per cell]
Zn: 0.0000 0.5000 0.0000 [2 per cell]
Zn: 0.1654 0.0000 0.5689 [4 per cell]
Ni: 0.0014 0.5000 0.3346 [4 per cell]
Ni: 0.1656 0.0000 0.8907 [4 per cell]

Peak list (10 most intense, 10° ≤ 2θ ≤ 90°, in order of falling intensity)
index  Position (°2θ)  Rel. int.
3 1 0  43.39  100
1 1 -3  42.97  68
0 2 0  43.79  33
2 2 3  63.36  20
5 1 3  79.91  19
4 2 -3  79.04  19
4 0 -3  62.03  10
3 3 0  80.17  10
6 0 0  79.30  5
2 0 -6  78.16  5

[11]
Theoretical powder diffraction line list of Ti2Zn6Ni for Cu Kα X-rays, from a crystal structure in Alexandria, relaxed with GGA-PBE.
Peak positions follow from Bragg's law for the DFT cell and can differ from measured ones.

Cell and atoms:
a = 6.4189 Å, b = 10.7983 Å, c = 3.9051 Å
α = 90.00°, β = 90.00°, γ = 90.00°
Space group Cmmm (No. 65)
Asymmetric unit:
Ti: 0.0000 0.2086 0.0000 [4 per cell]
Zn: 0.1964 0.3582 0.5000 [8 per cell]
Zn: 0.2357 0.5000 0.0000 [4 per cell]
Ni: 0.0000 0.0000 0.5000 [2 per cell]

Peak list (10 most intense, 10° ≤ 2θ ≤ 90°, in order of falling intensity)
index  Position (°2θ)  Rel. int.
2 2 1  40.01  100
0 4 1  40.63  64
2 4 1  49.94  61
1 3 1  36.73  60
0 0 2  46.51  49
3 1 0  43.10  28
2 0 0  27.80  25
5 3 1  83.74  18
0 6 0  50.73  16
3 1 2  65.27  15

[12]
Theoretical powder diffraction line list of TiZnNi for Cu Kα X-rays, from a crystal structure in Alexandria, relaxed with GGA-PBE.
Peak positions follow from Bragg's law for the DFT cell and can differ from measured ones.

Cell and atoms:
a = 4.2223 Å, b = 4.2223 Å, c = 5.3451 Å
α = 90.00°, β = 90.00°, γ = 120.00°
Space group P3m1 (No. 156)
Asymmetric unit:
Ti: 0.0000 0.0000 0.0000 [1 per cell]
Ti: 0.3333 0.6667 0.6569 [1 per cell]
Zn: 0.0000 0.0000 0.4866 [1 per cell]
Zn: 0.6667 0.3333 0.3186 [1 per cell]
Ni: 0.3333 0.6667 0.1341 [1 per cell]
Ni: 0.6667 0.3333 0.8361 [1 per cell]

Peak list (10 most intense, 10° ≤ 2θ ≤ 90°, in order of falling intensity)
index  Position (°2θ)  Rel. int.
0 1 2  41.87  100
1 1 0  42.84  94
2 0 2  61.45  30
1 2 2  77.80  28
1 0 4  75.79  14
3 0 0  78.47  14
0 1 1  29.60  5
1 0 3  57.54  2
1 0 0  24.34  1
0 0 1  16.59  1

[13]
Theoretical powder diffraction line list of TiZn2Ni5 for Cu Kα X-rays, from a crystal structure in Alexandria, relaxed with GGA-PBE.
Peak positions follow from Bragg's law for the DFT cell and can differ from measured ones.

Cell and atoms:
a = 3.6965 Å, b = 3.6965 Å, c = 13.9984 Å
α = 90.00°, β = 90.00°, γ = 90.00°
Space group I4/mmm (No. 139)
Asymmetric unit:
Ti: 0.0000 0.0000 0.0000 [2 per cell]
Zn: 0.0000 0.0000 0.2518 [4 per cell]
Ni: 0.0000 0.0000 0.5000 [2 per cell]
Ni: 0.0000 0.5000 0.1247 [8 per cell]

Peak list (9 most intense, 10° ≤ 2θ ≤ 90°, in order of falling intensity)
index  Position (°2θ)  Rel. int.
1 1 4  43.20  100
2 0 0  49.30  33
3 1 4  88.11  22
2 0 8  74.70  17
0 0 8  52.28  14
2 2 0  72.30  10
0 0 2  12.65  1
1 1 2  36.70  1
1 0 1  24.91  1